[1]
Structure and calculated powder diffractogram of Al2PbSe4 (a PBE-relaxed structure; Cu Kα).
Kinematic intensities with the Lorentz-polarization factor, no thermal factor.

Structural model:
Cell: 6.2902 11.0446 6.3236 Å, 90.00 119.58 90.00°
Element x y z (fractional)
Al (0.0000, 0.0000, 0.0000)
Al (0.0104, 0.5000, 0.9906)
Al (0.4580, 0.5000, 0.7079)
Al (0.4740, 0.0000, 0.5176)
Pb (0.7369, 0.2498, 0.2527)
Pb (0.7369, 0.7502, 0.2527)
Se (0.0447, 0.5000, 0.3919)
Se (0.2367, 0.1668, 0.2589)
Se (0.2367, 0.8332, 0.2589)
Se (0.4222, 0.5000, 0.0750)
Se (0.5865, 0.0000, 0.9439)
Se (0.7348, 0.3338, 0.7723)
Se (0.7348, 0.6662, 0.7723)
Se (0.8872, 0.0000, 0.5752)

Largest 12 diffraction maxima, sorted by position, 15 to 90 degrees two-theta:
two_theta	Rel. int.
16.11	45
16.21	54
22.85	75
29.22	55
29.38	29
29.53	25
32.43	22
32.57	47
32.76	22
36.48	100
36.66	49
36.78	29


[2]
Structure and calculated powder diffractogram of MgBr2O6 (a PBE-relaxed structure; Cu Kα).
Kinematic intensities with the Lorentz-polarization factor, no thermal factor.

Structural model:
Cell: 5.0366 5.0366 6.3629 Å, 91.52 91.52 67.65°
Element x y z (fractional)
Mg (0.0000, 0.0000, 0.0000)
Br (0.3482, 0.3482, 0.7317)
Br (0.6518, 0.6518, 0.2683)
O (0.2321, 0.7081, 0.7548)
O (0.2413, 0.2413, 0.9495)
O (0.2919, 0.7679, 0.2452)
O (0.7081, 0.2321, 0.7548)
O (0.7587, 0.7587, 0.0505)
O (0.7679, 0.2919, 0.2452)

Largest 12 diffraction maxima, sorted by position, 15 to 90 degrees two-theta:
two_theta	Rel. int.
19.06	27
23.47	35
23.88	100
25.11	42
25.87	38
28.06	30
31.92	17
33.85	22
34.43	15
35.97	30
38.67	12
47.45	13